(1)
# PrNd2Ni2Pt7
Calculated X-ray diffraction stick pattern, Cu Kα (weighted mean of Kα1 and Kα2). Input: a cell relaxed with PBE.
Intensities are scaled so that the largest is 100.

Structural model:
```
12
Lattice="2.7258 1.5738 8.6241 -2.7258 1.5738 8.6241 0.0000 -3.1475 8.6241" Properties=species:S:1:pos:R:3 pbc="T T T"
Pr 0.0000 0.0000 0.0000
Nd 0.0000 0.0000 3.5991
Nd 0.0000 0.0000 22.2732
Ni 0.0000 0.0000 8.6187
Ni 0.0000 0.0000 17.2537
Pt -1.3751 -0.7939 10.6866
Pt 0.0000 -1.5878 15.1858
Pt -1.3751 0.7939 15.1858
Pt 0.0000 0.0000 12.9362
Pt 1.3751 -0.7939 10.6865
Pt 0.0000 1.5878 10.6865
Pt 1.3751 0.7939 15.1858
```

The 10 most intense peaks (2θ = 5–70°), by angle:
Position (°2θ), I_rel
30.72, 27
33.59, 43
38.29, 63
38.78, 37
39.10, 100
41.90, 29
42.07, 54
45.60, 27
62.86, 25
68.89, 35


(2)
# Tb3ZrC2S2
Calculated X-ray diffraction stick pattern, Cu Kα (weighted mean of Kα1 and Kα2). Input: a cell relaxed with PBE.
Intensities are scaled so that the largest is 100.

Structural model:
```
8
Lattice="3.6351 0.0000 0.0000 -1.8176 3.1481 0.0000 0.0000 0.0000 12.8393" Properties=species:S:1:pos:R:3 pbc="T T T"
Tb 0.0000 0.0000 0.0000
Tb 0.0000 0.0000 3.7918
Tb 0.0000 2.0987 10.1111
Zr 0.0000 2.0987 6.3947
C 1.8176 1.0494 5.2491
C 1.8176 1.0494 11.4488
S 0.0000 0.0000 8.1265
S 0.0000 2.0987 1.9174
```

The 10 most intense peaks (2θ = 5–70°), by angle:
Position (°2θ), I_rel
27.79, 19
28.35, 31
29.21, 38
35.40, 100
40.12, 15
50.19, 30
58.21, 17
58.34, 15
62.91, 18
67.63, 12


(3)
# ScCo2HgSb2
Calculated X-ray diffraction stick pattern, Cu Kα (weighted mean of Kα1 and Kα2). Input: a cell relaxed with PBE.
Intensities are scaled so that the largest is 100.

Structural model:
```
12
Lattice="4.3479 0.0000 0.0000 0.0000 8.7829 0.0000 0.0000 0.0000 6.1116" Properties=species:S:1:pos:R:3 pbc="T T T"
Sc 0.0000 1.0606 0.0000
Sc 2.1740 7.7223 3.0558
Co 0.0000 3.1981 4.5703
Co 0.0000 7.6666 4.5852
Co 2.1740 1.1163 1.5294
Co 2.1740 5.5848 1.5145
Hg 0.0000 5.4461 6.0286
Hg 2.1740 3.3368 2.9728
Sb 0.0000 1.0319 3.0597
Sb 0.0000 5.6131 2.9786
Sb 2.1740 3.1698 6.0344
Sb 2.1740 7.7510 0.0039
```

The 10 most intense peaks (2θ = 5–70°), by angle:
Position (°2θ), I_rel
10.07, 14
17.68, 8
27.14, 10
28.90, 38
29.22, 18
41.11, 20
41.56, 100
51.23, 7
51.60, 8
59.87, 13


(4)
# Dy5Er2Te2Ir2
Calculated X-ray diffraction stick pattern, Cu Kα (weighted mean of Kα1 and Kα2). Input: a cell relaxed with PBE.
Intensities are scaled so that the largest is 100.

Structural model:
```
11
Lattice="-1.9650 7.8527 4.7296 1.9650 -7.8527 4.7296 1.9650 7.8527 -4.7296" Properties=species:S:1:pos:R:3 pbc="T T T"
Dy 0.0000 0.0000 0.0000
Dy 1.9650 -2.2973 2.1904
Dy 1.9650 2.2973 2.1904
Dy 1.9650 5.7854 0.7805
Dy 0.0000 2.0672 5.5100
Er 1.9650 2.8978 -1.2089
Er 0.0000 4.9548 3.5207
Te 0.0000 0.0000 3.1874
Te 0.0000 7.8527 2.2324
Ir 0.0000 3.7319 0.6786
Ir 0.0000 11.9734 0.6786
```

The 10 most intense peaks (2θ = 5–70°), by angle:
Position (°2θ), I_rel
11.27, 23
29.98, 19
30.11, 36
33.17, 44
33.63, 100
34.26, 48
36.54, 23
38.35, 27
46.21, 33
58.05, 18


(5)
# Co2W13
Calculated X-ray diffraction stick pattern, Cu Kα (weighted mean of Kα1 and Kα2). Input: a cell relaxed with PBE.
Intensities are scaled so that the largest is 100.

Structural model:
```
30
Lattice="9.6678 0.0000 0.0000 0.0000 9.6678 0.0000 0.0000 0.0000 5.1366" Properties=species:S:1:pos:R:3 pbc="T T T"
Co 0.9499 0.9499 0.0000
Co 3.8841 5.7838 2.5683
Co 5.7838 3.8841 2.5683
Co 8.7180 8.7180 0.0000
W 0.0000 0.0000 2.5683
W 0.3679 3.5274 0.0000
W 0.6361 2.5340 2.5683
W 1.3066 5.2018 2.5683
W 1.7780 7.8898 1.2797
W 1.7780 7.8898 3.8569
W 2.2999 5.4701 0.0000
W 2.5340 0.6361 2.5683
W 3.0559 3.0559 1.2886
W 3.0559 3.0559 3.8480
W 3.5274 0.3679 0.0000
W 4.1978 7.3679 0.0000
W 4.4660 8.3613 2.5683
W 4.8339 4.8339 0.0000
W 5.2018 1.3066 2.5683
W 5.4701 2.2999 0.0000
W 6.1405 9.2999 0.0000
W 6.6120 6.6120 1.2886
W 6.6120 6.6120 3.8480
W 7.1338 9.0317 2.5683
W 7.3679 4.1978 0.0000
W 7.8898 1.7780 1.2797
W 7.8898 1.7780 3.8569
W 8.3613 4.4660 2.5683
W 9.0317 7.1338 2.5683
W 9.2999 6.1405 0.0000
```

The 10 most intense peaks (2θ = 5–70°), by angle:
Position (°2θ), I_rel
19.57, 21
38.39, 100
39.55, 46
39.74, 38
40.87, 65
42.37, 93
43.44, 42
46.16, 24
67.21, 20
67.77, 23


(6)
# Gd2Si2O7
Calculated X-ray diffraction stick pattern, Cu Kα (weighted mean of Kα1 and Kα2). Input: a cell relaxed with PBE.
Intensities are scaled so that the largest is 100.

Structural model:
```
44
Lattice="13.7386 0.0000 0.0000 0.0000 5.0445 0.0000 0.0000 0.0000 8.2494" Properties=species:S:1:pos:R:3 pbc="T T T"
Gd 1.7125 0.8370 0.0000
Gd 1.7185 0.8394 3.9609
Gd 5.1568 3.3593 4.1247
Gd 5.1508 3.3617 8.0856
Gd 8.5818 1.6853 0.0000
Gd 8.5879 1.6828 3.9609
Gd 12.0261 4.2075 4.1247
Gd 12.0201 4.2051 8.0856
Si 0.5668 3.1491 6.1073
Si 2.4936 3.1547 1.9783
Si 4.3757 0.6324 6.1030
Si 6.3025 0.6268 1.9826
Si 7.4362 4.4177 6.1073
Si 9.3630 4.4121 1.9783
Si 11.2450 1.8899 6.1030
Si 13.1718 1.8955 1.9826
O 0.6638 3.9798 7.4998
O 0.6683 3.9826 4.7160
O 1.0891 2.2297 1.9812
O 1.3939 1.7509 6.1049
O 2.1363 4.7292 1.9799
O 3.1924 2.5949 0.6236
O 3.2017 2.5925 3.3258
O 3.6677 0.0702 7.4505
O 3.6769 0.0726 4.7484
O 4.7330 2.2069 6.1046
O 5.4755 4.2732 1.9802
O 5.7802 4.7519 6.1059
O 6.2010 1.4604 0.5913
O 6.2056 1.4575 3.3751
O 7.5331 3.5870 7.4998
O 7.5377 3.5842 4.7160
O 7.9584 0.2926 1.9812
O 8.2632 0.7713 6.1049
O 9.0056 2.8376 1.9799
O 10.0617 4.9719 0.6236
O 10.0710 4.9743 3.3258
O 10.5370 2.4521 7.4505
O 10.5463 2.4497 4.7484
O 11.6023 0.3153 6.1046
O 12.3448 3.2936 1.9802
O 12.6496 2.8149 6.1059
O 13.0703 1.0619 0.5913
O 13.0749 1.0647 3.3751
```

The 10 most intense peaks (2θ = 5–70°), by angle:
Position (°2θ), I_rel
21.55, 45
21.86, 89
25.94, 45
28.70, 40
30.88, 100
33.97, 38
43.41, 38
48.97, 30
49.56, 26
58.18, 23


What is the formula in the second record? Tb3ZrC2S2